Structure and calculated powder XRD pattern of Al2NiO4 (a structure optimized by DFT (GGA+U); Cu Kα, 1.54184 Å).
Neutral-atom scattering factors, no anomalous dispersion.

Cell and atoms:
```
data_Al2NiO4
_chemical_formula_sum 'Al8 Ni4 O16'
_space_group_name_H-M_alt 'I m m a'
_space_group_IT_number 74
_space_group_name_Hall '-I 2b 2'
_cell_length_a 5.6741
_cell_length_b 5.7889
_cell_length_c 8.1173
_cell_angle_alpha 90.00
_cell_angle_beta 90.00
_cell_angle_gamma 90.00
loop_
_atom_site_label
_atom_site_fract_x
_atom_site_fract_y
_atom_site_fract_z
Al1 0.0000 0.0000 0.0000
Al2 0.0000 0.2500 0.3667
Ni1 0.2500 0.2500 0.7500
O1 0.0000 0.0017 0.2342
O2 0.2346 0.2500 0.0044
```

The 10 most intense peaks (10 to 90 degrees two-theta), in order of rising 2θ:
18.8 deg, intensity 73; 21.9 deg, intensity 22; 30.9 deg, intensity 24; 36.6 deg, intensity 79; 37.0 deg, intensity 100; 44.7 deg, intensity 95; 59.0 deg, intensity 23; 59.1 deg, intensity 17; 64.4 deg, intensity 19; 65.1 deg, intensity 70